Diffraction record for Ac3Sn5. The powder XRD pattern is calculated, not measured: it uses a DFT-relaxed cell (GGA-PBE, Alexandria) and λ = 1.5418 Å (Cu Kα).
Intensities are scaled so that the largest is 100.

```
data_Ac3Sn5
_chemical_formula_sum 'Ac6 Sn10'
_cell_length_a 9.617
_cell_length_b 10.638
_cell_length_c 5.027
_cell_angle_alpha 90.00
_cell_angle_beta 90.00
_cell_angle_gamma 90.00
_space_group_name_H-M_alt 'C m m m'
_space_group_IT_number 65
_space_group_name_Hall '-C 2 2'
loop_
_atom_site_label
_atom_site_type_symbol
_atom_site_fract_x
_atom_site_fract_y
_atom_site_fract_z
_atom_site_occupancy
Ac1 Ac 0.000 0.000 0.000 1
Ac2 Ac 0.000 0.282 0.500 1
Sn1 Sn 0.000 0.500 0.000 1
Sn2 Sn 0.237 0.000 0.500 1
Sn3 Sn 0.250 0.250 0.000 1
```

Top 6 peaks for 10° ≤ 2θ ≤ 90°, most intense first:
two_theta	intensity	(hkl)
30.74	100.0	2 2 1
35.72	18.0	0 0 2
33.70	16.7	0 4 0
37.40	15.6	4 0 0
61.10	14.8	2 2 3
63.36	12.8	6 2 1


Diffraction record for Na5B7C3. The powder XRD pattern is calculated, not measured: it uses a DFT-relaxed cell (GGA-PBE, Alexandria) and λ = 1.5418 Å (Cu Kα).
Intensities are scaled so that the largest is 100.

```
data_Na5B7C3
_chemical_formula_sum 'Na10 B14 C6'
_cell_length_a 5.101
_cell_length_b 7.586
_cell_length_c 9.038
_cell_angle_alpha 72.63
_cell_angle_beta 89.98
_cell_angle_gamma 70.35
_space_group_name_H-M_alt 'P 1'
_space_group_IT_number 1
_space_group_name_Hall 'P 1'
loop_
_atom_site_label
_atom_site_type_symbol
_atom_site_fract_x
_atom_site_fract_y
_atom_site_fract_z
_atom_site_occupancy
Na1 Na 0.000 0.000 0.000 1
Na2 Na 0.097 0.803 0.493 1
Na3 Na 0.199 0.599 0.002 1
Na4 Na 0.298 0.402 0.493 1
Na5 Na 0.400 0.198 0.000 1
Na6 Na 0.500 0.000 0.497 1
Na7 Na 0.600 0.799 0.000 1
Na8 Na 0.699 0.604 0.490 1
Na9 Na 0.802 0.399 0.003 1
Na10 Na 0.899 0.202 0.497 1
B1 B 0.072 0.501 0.748 1
B2 B 0.119 0.100 0.247 1
B3 B 0.211 0.893 0.747 1
B4 B 0.273 0.109 0.747 1
B5 B 0.336 0.701 0.247 1
B6 B 0.401 0.501 0.748 1
B7 B 0.518 0.301 0.247 1
B8 B 0.520 0.692 0.747 1
B9 B 0.604 0.108 0.747 1
B10 B 0.710 0.912 0.248 1
B11 B 0.711 0.309 0.748 1
B12 B 0.882 0.892 0.747 1
B13 B 0.921 0.490 0.247 1
B14 B 0.982 0.701 0.248 1
C1 C 0.014 0.305 0.748 1
C2 C 0.182 0.295 0.247 1
C3 C 0.382 0.903 0.248 1
C4 C 0.585 0.498 0.247 1
C5 C 0.776 0.106 0.247 1
C6 C 0.819 0.696 0.748 1
```

Top 6 peaks for 10° ≤ 2θ ≤ 90°, most intense first:
two_theta	intensity	(hkl)
41.92	100.0	1 3 3
41.19	51.3	2 1 2
42.17	37.9	0 0 4
36.03	18.0	1 3 1
63.69	17.8	3 4 1
79.37	17.2	3 4 -3


Diffraction record for RbU3O9. The powder XRD pattern is calculated, not measured: it uses a DFT-relaxed cell (GGA-PBE, Alexandria) and λ = 1.5418 Å (Cu Kα).
Intensities are scaled so that the largest is 100.

```
data_RbU3O9
_chemical_formula_sum 'Rb1 U3 O9'
_cell_length_a 8.0806
_cell_length_b 8.0806
_cell_length_c 4.1898
_cell_angle_alpha 90.00
_cell_angle_beta 90.00
_cell_angle_gamma 120.00
_space_group_name_H-M_alt 'P 6/m m m'
_space_group_IT_number 191
_space_group_name_Hall '-P 6 2'
loop_
_atom_site_label
_atom_site_type_symbol
_atom_site_fract_x
_atom_site_fract_y
_atom_site_fract_z
_atom_site_occupancy
Rb1 Rb 0.0000 0.0000 0.0000 1
U1 U 0.0000 0.5000 0.5000 1
O1 O 0.0000 0.5000 0.0000 1
O2 O 0.2066 0.4131 0.5000 1
```

Top 6 peaks for 10° ≤ 2θ ≤ 90°, most intense first:
two_theta	intensity	(hkl)
25.46	100.0	2 0 0
33.36	42.1	2 0 1
21.21	35.6	0 0 1
24.77	33.6	1 0 1
50.80	31.5	2 0 2
44.87	26.9	2 2 0


Diffraction record for Sr3Be2AlO6. The powder XRD pattern is calculated, not measured: it uses a DFT-relaxed cell (GGA-PBE, Alexandria) and λ = 1.5418 Å (Cu Kα).
Intensities are scaled so that the largest is 100.

```
data_Sr3Be2AlO6
_chemical_formula_sum 'Sr3 Be2 Al1 O6'
_cell_length_a 5.3556
_cell_length_b 5.3556
_cell_length_c 6.5948
_cell_angle_alpha 90.00
_cell_angle_beta 90.00
_cell_angle_gamma 120.00
_space_group_name_H-M_alt 'P -3 m 1'
_space_group_IT_number 164
_space_group_name_Hall '-P 3 2"'
loop_
_atom_site_label
_atom_site_type_symbol
_atom_site_fract_x
_atom_site_fract_y
_atom_site_fract_z
_atom_site_occupancy
Sr1 Sr 0.0000 0.0000 0.0000 1
Sr2 Sr 0.3333 0.6667 0.6730 1
Be1 Be 0.3333 0.6667 0.2750 1
Al1 Al 0.0000 0.0000 0.5000 1
O1 O 0.1681 0.3362 0.3193 1
```

Top 6 peaks for 10° ≤ 2θ ≤ 90°, most intense first:
two_theta	intensity	(hkl)
23.45	100.0	1 0 1
33.46	81.9	1 1 0
33.34	81.2	0 1 2
41.27	68.7	0 2 1
47.96	58.3	2 0 2
59.77	46.3	3 0 0


Diffraction record for Tb5ThRu6. The powder XRD pattern is calculated, not measured: it uses a DFT-relaxed cell (GGA-PBE, Alexandria) and λ = 1.5418 Å (Cu Kα).
Intensities are scaled so that the largest is 100.

```
data_Tb5ThRu6
_chemical_formula_sum 'Tb5 Th1 Ru6'
_cell_length_a 4.866
_cell_length_b 6.888
_cell_length_c 7.647
_cell_angle_alpha 90.00
_cell_angle_beta 108.40
_cell_angle_gamma 90.00
_space_group_name_H-M_alt 'P 1 2/m 1'
_space_group_IT_number 10
_space_group_name_Hall '-P 2y'
loop_
_atom_site_label
_atom_site_type_symbol
_atom_site_fract_x
_atom_site_fract_y
_atom_site_fract_z
_atom_site_occupancy
Tb1 Tb 0.000 0.000 0.000 1
Tb2 Tb 0.330 0.500 0.659 1
Tb3 Tb 0.333 0.000 0.666 1
Th1 Th 0.000 0.500 0.000 1
Ru1 Ru 0.162 0.254 0.325 1
Ru2 Ru 0.500 0.258 0.000 1
```

Top 6 peaks for 10° ≤ 2θ ≤ 90°, most intense first:
two_theta	intensity	(hkl)
36.98	100.0	2 0 -1
37.17	19.6	0 0 3
66.53	14.2	3 2 0
66.66	14.1	3 2 -3
66.89	13.7	1 2 4
53.19	7.0	0 4 0


Diffraction record for Li3PdF6. The powder XRD pattern is calculated, not measured: it uses a DFT-relaxed cell (GGA-PBE, Alexandria) and λ = 1.5418 Å (Cu Kα).
Intensities are scaled so that the largest is 100.

```
data_Li3PdF6
_chemical_formula_sum 'Li18 Pd6 F36'
_cell_length_a 8.7234
_cell_length_b 8.7234
_cell_length_c 10.3941
_cell_angle_alpha 90.00
_cell_angle_beta 90.00
_cell_angle_gamma 120.00
_space_group_name_H-M_alt 'R -3'
_space_group_IT_number 148
_space_group_name_Hall '-R 3'
loop_
_atom_site_label
_atom_site_type_symbol
_atom_site_fract_x
_atom_site_fract_y
_atom_site_fract_z
_atom_site_occupancy
Li1 Li 0.0389 0.7757 0.2106 1
Pd1 Pd 0.0000 0.0000 0.0000 1
Pd2 Pd 0.0000 0.0000 0.5000 1
F1 F 0.0201 0.8099 0.3973 1
F2 F 0.0204 0.8321 0.8715 1
```

Top 6 peaks for 10° ≤ 2θ ≤ 90°, most intense first:
two_theta	intensity	(hkl)
20.75	100.0	0 1 2
20.36	96.5	1 1 0
35.88	56.5	3 -2 2
29.23	56.0	2 0 2
47.30	44.4	3 -1 4
46.75	33.6	4 -1 2


Diffraction record for Ce2MnTc3. The powder XRD pattern is calculated, not measured: it uses a DFT-relaxed cell (GGA-PBE, Alexandria) and λ = 1.5418 Å (Cu Kα).
Intensities are scaled so that the largest is 100.

```
data_Ce2MnTc3
_chemical_formula_sum 'Ce4 Mn2 Tc6'
_cell_length_a 5.2982
_cell_length_b 5.2982
_cell_length_c 9.0784
_cell_angle_alpha 90.00
_cell_angle_beta 90.00
_cell_angle_gamma 120.00
_space_group_name_H-M_alt 'P 63/m m c'
_space_group_IT_number 194
_space_group_name_Hall '-P 6c 2c'
loop_
_atom_site_label
_atom_site_type_symbol
_atom_site_fract_x
_atom_site_fract_y
_atom_site_fract_z
_atom_site_occupancy
Ce1 Ce 0.3333 0.6667 0.0684 1
Mn1 Mn 0.0000 0.0000 0.0000 1
Tc1 Tc 0.1685 0.3371 0.7500 1
```

Top 6 peaks for 10° ≤ 2θ ≤ 90°, most intense first:
two_theta	intensity	(hkl)
35.54	100.0	1 0 3
40.56	87.6	2 0 1
39.38	83.2	1 1 2
61.64	38.1	2 1 3
65.57	33.9	2 0 5
33.84	30.3	1 1 0


Diffraction record for GaCoCuAu. The powder XRD pattern is calculated, not measured: it uses a DFT-relaxed cell (GGA-PBE, Alexandria) and λ = 1.5418 Å (Cu Kα).
Intensities are scaled so that the largest is 100.

```
data_GaCoCuAu
_chemical_formula_sum 'Ga4 Co4 Cu4 Au4'
_cell_length_a 6.060
_cell_length_b 6.060
_cell_length_c 6.060
_cell_angle_alpha 90.00
_cell_angle_beta 90.00
_cell_angle_gamma 90.00
_space_group_name_H-M_alt 'F -4 3 m'
_space_group_IT_number 216
_space_group_name_Hall 'F -4 2 3'
loop_
_atom_site_label
_atom_site_type_symbol
_atom_site_fract_x
_atom_site_fract_y
_atom_site_fract_z
_atom_site_occupancy
Ga1 Ga 0.000 0.000 0.000 1
Co1 Co 0.250 0.250 0.250 1
Cu1 Cu 0.000 0.000 0.500 1
Au1 Au 0.250 0.250 0.750 1
```

Top 6 peaks for 10° ≤ 2θ ≤ 90°, most intense first:
two_theta	intensity	(hkl)
42.18	100.0	2 2 0
77.10	32.6	4 2 2
25.46	27.8	1 1 1
61.17	16.2	4 0 0
49.91	14.7	3 1 1
29.48	11.0	2 0 0